The following is a computed powder X-ray diffraction pattern of Na7Zr6F31. It was derived from a GGA-PBE-relaxed structure, using CuKα.

Structure:
Cell lengths 8.687, 8.687, 8.687 Å; angles 107.27, 107.27, 107.27 degrees
Sites, in units of the cell vectors:
Na  0.000  0.000  0.000
Na  0.066  0.217  0.688
Na  0.217  0.688  0.066
Na  0.311  0.926  0.783
Na  0.688  0.066  0.217
Na  0.783  0.311  0.926
Na  0.926  0.783  0.311
Zr  0.125  0.461  0.373
Zr  0.373  0.125  0.461
Zr  0.461  0.373  0.125
Zr  0.548  0.630  0.860
Zr  0.630  0.860  0.548
Zr  0.860  0.548  0.630
F  0.023  0.555  0.194
F  0.050  0.654  0.517
F  0.086  0.767  0.841
F  0.159  0.925  0.232
F  0.194  0.023  0.555
F  0.200  0.254  0.408
F  0.232  0.159  0.925
F  0.254  0.408  0.200
F  0.293  0.555  0.657
F  0.346  0.710  0.458
F  0.348  0.478  0.944
F  0.408  0.200  0.254
F  0.447  0.798  0.980
F  0.458  0.346  0.710
F  0.478  0.944  0.348
F  0.517  0.050  0.654
F  0.555  0.194  0.023
F  0.555  0.657  0.293
F  0.571  0.571  0.571
F  0.615  0.849  0.789
F  0.654  0.517  0.050
F  0.657  0.293  0.555
F  0.710  0.458  0.346
F  0.767  0.841  0.086
F  0.789  0.615  0.849
F  0.798  0.980  0.447
F  0.841  0.086  0.767
F  0.849  0.789  0.615
F  0.925  0.232  0.159
F  0.944  0.348  0.478
F  0.980  0.447  0.798

Largest 6 diffraction maxima, sorted by position, 2θ from 5° to 70°:
2θ 11.8, intensity 59
2θ 21.5, intensity 39
2θ 28.1, intensity 100
2θ 46.5, intensity 58
2θ 46.8, intensity 61
2θ 55.4, intensity 43

The following is a computed powder X-ray diffraction pattern of PrDyHo2. It was derived from a GGA-PBE-relaxed structure, using CuKα.

Structure:
Cell lengths 3.591, 3.591, 34.810 Å; angles 90.00, 90.00, 120.00 degrees
Sites, in units of the cell vectors:
Pr  0.000  0.000  0.000
Pr  0.333  0.667  0.667
Pr  0.667  0.333  0.333
Dy  0.000  0.000  0.166
Dy  0.333  0.667  0.833
Dy  0.667  0.333  0.499
Ho  0.000  0.000  0.581
Ho  0.000  0.000  0.751
Ho  0.333  0.667  0.247
Ho  0.333  0.667  0.418
Ho  0.667  0.333  0.085
Ho  0.667  0.333  0.914

Largest 6 diffraction maxima, sorted by position, 2θ from 5° to 70°:
2θ 29.2, intensity 32
2θ 30.8, intensity 48
2θ 31.5, intensity 100
2θ 34.0, intensity 76
2θ 50.9, intensity 36
2θ 60.7, intensity 42

The following is a computed powder X-ray diffraction pattern of ThTl2InS5. It was derived from a GGA-PBE-relaxed structure, using CuKα.

Structure:
Cell lengths 9.319, 9.319, 13.593 Å; angles 90.00, 90.00, 154.47 degrees
Sites, in units of the cell vectors:
Th  0.223  0.777  0.500
Th  0.777  0.223  0.000
Tl  0.092  0.908  0.109
Tl  0.120  0.880  0.786
Tl  0.880  0.120  0.286
Tl  0.908  0.092  0.609
In  0.432  0.568  0.882
In  0.568  0.432  0.382
S  0.060  0.940  0.491
S  0.278  0.722  0.131
S  0.294  0.706  0.859
S  0.372  0.628  0.465
S  0.495  0.505  0.724
S  0.505  0.495  0.224
S  0.628  0.372  0.965
S  0.706  0.294  0.359
S  0.722  0.278  0.631
S  0.940  0.060  0.991

Largest 6 diffraction maxima, sorted by position, 2θ from 5° to 70°:
2θ 21.9, intensity 72
2θ 27.0, intensity 74
2θ 29.7, intensity 100
2θ 30.2, intensity 43
2θ 35.5, intensity 36
2θ 46.0, intensity 37